Simulated powder diffractogram
Compound: Ba2Mn3Se6O18
Radiation: Cu Kα
Structure: a structure optimized by DFT (PBE+U)
Kinematic intensities with the Lorentz-polarization factor, no thermal factor.

Cell and atoms:
a b c (Å): 5.562 9.238 18.205
angles (deg): 90.00 94.59 90.00
Space group P2_1/c (No. 14)
Symmetry-distinct sites (fractional):
Ba: 0.018 0.162 0.296
Mn: 0.000 0.000 0.500
Mn: 0.487 0.002 0.836
Se: 0.007 0.140 0.069
Se: 0.494 0.150 0.688
Se: 0.497 0.202 0.452
O: 0.099 0.184 0.578
O: 0.146 0.614 0.353
O: 0.238 0.636 0.077
O: 0.263 0.603 0.752
O: 0.275 0.038 0.083
O: 0.282 0.068 0.741
O: 0.292 0.065 0.431
O: 0.391 0.184 0.878
O: 0.437 0.172 0.219

Main lines, by intensity (2θ from 5° to 70°):
2θ = 26.21°, I 100
2θ = 28.11°, I 85
2θ = 25.33°, I 44
2θ = 32.29°, I 43
2θ = 25.83°, I 42
2θ = 32.63°, I 25
2θ = 26.38°, I 20
2θ = 9.75°, I 19